Calculated XRD peak list
Compound: Th5IrSe4
Radiation: Cu Kα, 1.54184 Å
Structure: a cell relaxed with PBE
No peak broadening, texture or thermal motion is included.

Atomic structure:
Unit cell a=7.3136 b=7.3136 c=7.3136 alpha=99.59 beta=99.59 gamma=131.82
Fractional coordinates of all 10 atoms:
1 Th 0.0000 0.0000 0.0000
2 Th 0.2152 0.3996 0.6147
3 Th 0.3996 0.7848 0.1844
4 Th 0.6004 0.2152 0.8156
5 Th 0.7848 0.6004 0.3853
6 Ir 0.5000 0.5000 0.0000
7 Se 0.0933 0.6940 0.7873
8 Se 0.3060 0.0933 0.3992
9 Se 0.6940 0.9067 0.6008
10 Se 0.9067 0.3060 0.2127

Main lines, sorted by position (10 to 80 degrees two-theta):
| Position (°2θ) | intensity |
| --- | --- |
| 13.26 | 4 |
| 25.84 | 26 |
| 29.93 | 100 |
| 42.84 | 76 |
| 50.71 | 13 |
| 53.13 | 27 |
| 62.18 | 12 |
| 68.49 | 6 |
| 70.53 | 33 |
| 78.47 | 25 |